# 1
Structure and computed X-ray powder pattern of B5C7 (a structure optimized by DFT (GGA-PBE); Cu Kα (λ = 1.5418 Å)).
Intensities are scaled so that the largest is 100.

Principal peaks in the range 15° ≤ 2θ ≤ 90°, by angle:
2θ 22.4, I 18.4
2θ 24.6, I 10.7
2θ 40.7, I 100.0
2θ 42.9, I 99.8
2θ 69.7, I 26.7
2θ 69.8, I 25.4
2θ 71.3, I 11.0
2θ 77.6, I 10.7
2θ 79.4, I 10.6
2θ 87.0, I 14.4

Structure:
a b c (Å): 4.6251 4.6254 4.7510
angles (deg): 103.84 103.82 118.05
Sites, in units of the cell vectors:
B  0.0000  0.0000  0.0000
B  0.0869  0.1539  0.4097
B  0.1997  0.7861  0.5592
B  0.5338  0.5383  0.5585
B  0.6856  0.3493  0.0404
C  0.2914  0.9397  0.9292
C  0.3381  0.6715  0.0480
C  0.4667  0.8193  0.4083
C  0.6151  0.6285  0.9487
C  0.7893  0.4486  0.4322
C  0.8241  0.1706  0.5526
C  0.9692  0.3092  0.9161



# 2
Structure and computed X-ray powder pattern of B5C7 (a structure optimized by DFT (GGA-PBE); Cu Kα (λ = 1.5418 Å)).
Intensities are scaled so that the largest is 100.

Principal peaks in the range 15° ≤ 2θ ≤ 90°, by angle:
2θ 19.3, I 8.6
2θ 23.4, I 8.1
2θ 41.3, I 100.0
2θ 42.1, I 91.6
2θ 69.9, I 10.1
2θ 71.2, I 46.8
2θ 72.0, I 14.3
2θ 85.1, I 11.3
2θ 86.5, I 8.2
2θ 86.6, I 15.8

Structure:
a b c (Å): 4.6028 2.6230 6.5575
angles (deg): 90.00 90.92 90.00
Sites, in units of the cell vectors:
B  0.0000  0.0000  0.0000
B  0.0545  0.0000  0.7249
B  0.1960  0.5000  0.1223
B  0.5907  0.5000  0.9923
B  0.8941  0.5000  0.4127
C  0.2362  0.5000  0.3551
C  0.3949  0.0000  0.4314
C  0.3957  0.0000  0.6690
C  0.5493  0.5000  0.7489
C  0.6841  0.0000  0.1083
C  0.7048  0.0000  0.3410
C  0.8761  0.5000  0.7056



# 3
Structure and computed X-ray powder pattern of B5C7 (a structure optimized by DFT (GGA-PBE); Cu Kα (λ = 1.5418 Å)).
Intensities are scaled so that the largest is 100.

Principal peaks in the range 15° ≤ 2θ ≤ 90°, by angle:
2θ 21.6, I 22.0
2θ 23.2, I 100.0
2θ 28.9, I 78.1
2θ 31.5, I 28.8
2θ 37.0, I 49.3
2θ 40.1, I 67.4
2θ 40.7, I 21.5
2θ 41.1, I 74.2
2θ 42.1, I 25.2
2θ 72.9, I 18.6

Structure:
a b c (Å): 4.1257 2.5947 8.5316
angles (deg): 90.00 94.81 90.00
Sites, in units of the cell vectors:
B  0.0000  0.0000  0.0000
B  0.0768  0.5000  0.6455
B  0.4368  0.0000  0.5286
B  0.5143  0.5000  0.0801
B  0.7872  0.0000  0.6634
C  0.0369  0.5000  0.3361
C  0.1811  0.5000  0.9649
C  0.2650  0.5000  0.4790
C  0.3460  0.5000  0.8078
C  0.5214  0.0000  0.7733
C  0.7026  0.0000  0.1210
C  0.9291  0.0000  0.2696



# 4
Structure and computed X-ray powder pattern of B5C7 (a structure optimized by DFT (GGA-PBE); Cu Kα (λ = 1.5418 Å)).
Intensities are scaled so that the largest is 100.

Principal peaks in the range 15° ≤ 2θ ≤ 90°, by angle:
2θ 19.7, I 13.8
2θ 39.9, I 44.2
2θ 41.5, I 61.8
2θ 43.1, I 100.0
2θ 69.6, I 25.6
2θ 69.7, I 13.0
2θ 71.7, I 27.1
2θ 76.3, I 12.1
2θ 84.2, I 10.2
2θ 84.5, I 11.1

Structure:
a b c (Å): 4.7280 4.7280 7.7772
angles (deg): 116.41 116.41 30.63
Sites, in units of the cell vectors:
B  0.0000  0.0000  0.0000
B  0.0113  0.0113  0.5093
B  0.3397  0.3397  0.1605
B  0.4778  0.4778  0.6485
B  0.8083  0.8083  0.3041
C  0.1580  0.1580  0.9484
C  0.1614  0.1614  0.4670
C  0.3176  0.3176  0.6808
C  0.5047  0.5047  0.1444
C  0.6574  0.6574  0.3488
C  0.6769  0.6769  0.8531
C  0.8190  0.8190  0.7963



# 5
Structure and computed X-ray powder pattern of BC4 (a structure optimized by DFT (GGA-PBE); Cu Kα (λ = 1.5418 Å)).
Intensities are scaled so that the largest is 100.

Principal peaks in the range 15° ≤ 2θ ≤ 90°, by angle:
2θ 16.5, I 5.6
2θ 24.9, I 1.7
2θ 42.2, I 30.3
2θ 42.3, I 0.6
2θ 43.2, I 100.0
2θ 72.6, I 25.4
2θ 74.1, I 25.2
2θ 87.7, I 9.2
2θ 89.1, I 13.9
2θ 89.8, I 8.3

Structure:
a b c (Å): 10.8203 10.8203 10.8203
angles (deg): 13.59 13.59 13.59
Sites, in units of the cell vectors:
B  0.0000  0.0000  0.0000
B  0.1988  0.1988  0.1988
C  0.1481  0.1481  0.1481
C  0.3544  0.3544  0.3544
C  0.4013  0.4013  0.4013
C  0.5530  0.5530  0.5530
C  0.6001  0.6001  0.6001
C  0.7509  0.7509  0.7509
C  0.7995  0.7995  0.7995
C  0.9497  0.9497  0.9497



# 6
Structure and computed X-ray powder pattern of B3C7 (a structure optimized by DFT (GGA-PBE); Cu Kα (λ = 1.5418 Å)).
Intensities are scaled so that the largest is 100.

Principal peaks in the range 15° ≤ 2θ ≤ 90°, by angle:
2θ 22.1, I 16.2
2θ 29.6, I 13.7
2θ 37.2, I 13.3
2θ 41.7, I 100.0
2θ 44.6, I 20.0
2θ 45.0, I 30.6
2θ 72.0, I 32.2
2θ 73.1, I 25.3
2θ 86.8, I 7.5
2θ 89.1, I 18.7

Structure:
a b c (Å): 12.1761 12.1761 12.1761
angles (deg): 12.37 12.37 12.37
Sites, in units of the cell vectors:
B  0.0000  0.0000  0.0000
B  0.0972  0.0972  0.0972
B  0.2227  0.2227  0.2227
C  0.2675  0.2675  0.2675
C  0.4366  0.4366  0.4366
C  0.4819  0.4819  0.4819
C  0.6144  0.6144  0.6144
C  0.6612  0.6612  0.6612
C  0.8298  0.8298  0.8298
C  0.8713  0.8713  0.8713



# 7
Structure and computed X-ray powder pattern of B3C (a structure optimized by DFT (GGA-PBE); Cu Kα (λ = 1.5418 Å)).
Intensities are scaled so that the largest is 100.

Principal peaks in the range 15° ≤ 2θ ≤ 90°, by angle:
2θ 22.6, I 9.4
2θ 25.5, I 30.5
2θ 41.0, I 100.0
2θ 43.2, I 86.3
2θ 46.2, I 6.8
2θ 67.8, I 55.6
2θ 70.5, I 15.0
2θ 72.1, I 8.1
2θ 76.7, I 12.0
2θ 80.9, I 7.3

Structure:
a b c (Å): 4.4068 4.4068 4.9676
angles (deg): 106.40 106.40 65.27
Sites, in units of the cell vectors:
B  0.0000  0.0000  0.0000
B  0.1453  0.5737  0.4214
B  0.1755  0.5572  0.9400
B  0.4131  0.2599  0.1794
B  0.4181  0.2935  0.6668
B  0.4263  0.8547  0.5786
B  0.4428  0.8245  0.0600
B  0.7065  0.5819  0.3332
B  0.7401  0.5869  0.8206
C  0.0070  0.9930  0.5000
C  0.8250  0.1742  0.2594
C  0.8258  0.1750  0.7406



# 8
Structure and computed X-ray powder pattern of B3C7 (a structure optimized by DFT (GGA-PBE); Cu Kα (λ = 1.5418 Å)).
Intensities are scaled so that the largest is 100.

Principal peaks in the range 15° ≤ 2θ ≤ 90°, by angle:
2θ 24.0, I 2.5
2θ 40.6, I 27.2
2θ 43.2, I 100.0
2θ 46.6, I 2.3
2θ 49.2, I 3.9
2θ 70.8, I 20.6
2θ 74.5, I 25.2
2θ 79.0, I 4.5
2θ 85.0, I 7.4
2θ 88.4, I 10.6

Structure:
a b c (Å): 11.2116 11.2116 11.2116
angles (deg): 13.05 13.05 13.05
Sites, in units of the cell vectors:
B  0.0000  0.0000  0.0000
B  0.2360  0.2360  0.2360
B  0.6000  0.6000  0.6000
C  0.0488  0.0488  0.0488
C  0.1883  0.1883  0.1883
C  0.3975  0.3975  0.3975
C  0.4441  0.4441  0.4441
C  0.6461  0.6461  0.6461
C  0.7929  0.7929  0.7929
C  0.8394  0.8394  0.8394